The following is a theoretical powder X-ray diffraction pattern of Li8GeAu6. It was derived from DFT lattice parameters and positions (GGA-PBE), using Cu Kα, 1.54184 Å.
Neutral-atom scattering factors, no anomalous dispersion.

Cell and atoms:
```
data_Li8GeAu6
_symmetry_space_group_name_H-M 'P 1'
_symmetry_Int_Tables_number 1
_cell_length_a 6.975
_cell_length_b 6.975
_cell_length_c 6.975
_cell_angle_alpha 67.34
_cell_angle_beta 67.34
_cell_angle_gamma 67.34
loop_
_symmetry_equiv_pos_as_xyz
'x,y,z'
loop_
_atom_site_label
_atom_site_type_symbol
_atom_site_fract_x
_atom_site_fract_y
_atom_site_fract_z
_atom_site_occupancy
Li1 Li 0.060 0.377 0.708 1
Li2 Li 0.165 0.165 0.165 1
Li3 Li 0.292 0.940 0.623 1
Li4 Li 0.377 0.708 0.060 1
Li5 Li 0.623 0.292 0.940 1
Li6 Li 0.708 0.060 0.377 1
Li7 Li 0.835 0.835 0.835 1
Li8 Li 0.940 0.623 0.292 1
Ge1 Ge 0.500 0.500 0.500 1
Au1 Au 0.109 0.790 0.451 1
Au2 Au 0.210 0.549 0.891 1
Au3 Au 0.451 0.109 0.790 1
Au4 Au 0.549 0.891 0.210 1
Au5 Au 0.790 0.451 0.109 1
Au6 Au 0.891 0.210 0.549 1
```

Main lines, by angle (2θ = 5–70°):
d/Å  Rel. int.
5.359  49
3.867  32
3.136  100
2.232  47
2.202  58
2.061  26
1.819  21
1.568  20

---

The following is a theoretical powder X-ray diffraction pattern of Li4Ge3Au. It was derived from DFT lattice parameters and positions (GGA-PBE), using Cu Kα, 1.54184 Å.
Neutral-atom scattering factors, no anomalous dispersion.

Cell and atoms:
```
data_Li4Ge3Au
_symmetry_space_group_name_H-M 'P 1'
_symmetry_Int_Tables_number 1
_cell_length_a 3.001
_cell_length_b 4.333
_cell_length_c 10.261
_cell_angle_alpha 90.00
_cell_angle_beta 90.00
_cell_angle_gamma 90.00
loop_
_symmetry_equiv_pos_as_xyz
'x,y,z'
loop_
_atom_site_label
_atom_site_type_symbol
_atom_site_fract_x
_atom_site_fract_y
_atom_site_fract_z
_atom_site_occupancy
Li1 Li 0.000 0.000 0.000 1
Li2 Li 0.000 0.500 0.321 1
Li3 Li 0.500 0.000 0.493 1
Li4 Li 0.500 0.500 0.826 1
Ge1 Ge 0.000 0.000 0.734 1
Ge2 Ge 0.000 0.500 0.588 1
Ge3 Ge 0.500 0.500 0.087 1
Au1 Au 0.500 0.000 0.231 1
```

Main lines, by angle (2θ = 5–70°):
d/Å  Rel. int.
10.261  82
5.131  98
3.310  100
2.881  93
2.399  43
2.207  58
2.001  81
1.731  42

---

The following is a theoretical powder X-ray diffraction pattern of LiGe2Au2. It was derived from DFT lattice parameters and positions (GGA-PBE), using Cu Kα, 1.54184 Å.
Neutral-atom scattering factors, no anomalous dispersion.

Cell and atoms:
```
data_LiGe2Au2
_symmetry_space_group_name_H-M 'P 1'
_symmetry_Int_Tables_number 1
_cell_length_a 7.297
_cell_length_b 7.297
_cell_length_c 3.589
_cell_angle_alpha 90.00
_cell_angle_beta 90.00
_cell_angle_gamma 90.00
loop_
_symmetry_equiv_pos_as_xyz
'x,y,z'
loop_
_atom_site_label
_atom_site_type_symbol
_atom_site_fract_x
_atom_site_fract_y
_atom_site_fract_z
_atom_site_occupancy
Li1 Li 0.000 0.000 0.000 1
Li2 Li 0.500 0.500 0.000 1
Ge1 Ge 0.160 0.340 0.500 1
Ge2 Ge 0.340 0.840 0.500 1
Ge3 Ge 0.660 0.160 0.500 1
Ge4 Ge 0.840 0.660 0.500 1
Au1 Au 0.147 0.647 0.000 1
Au2 Au 0.353 0.147 0.000 1
Au3 Au 0.647 0.853 0.000 1
Au4 Au 0.853 0.353 0.000 1
```

Main lines, by angle (2θ = 5–70°):
d/Å  Rel. int.
5.160  31
3.649  12
3.589  12
3.264  22
2.415  100
2.308  24
1.824  11
1.720  12